Theoretical powder XRD pattern of LiVAsO5 for a wavelength of 1.5418 Å, from a GGA+U-relaxed structure.
Kinematic intensities with the Lorentz-polarization factor, no thermal factor.

Structural model:
```
data_LiVAsO5
_space_group_name_H-M_alt 'P n m a'
_space_group_IT_number 62
_space_group_name_Hall '-P 2ac 2n'
_cell_length_a 7.536
_cell_length_b 6.597
_cell_length_c 7.651
_cell_angle_alpha 90.00
_cell_angle_beta 90.00
_cell_angle_gamma 90.00
loop_
_atom_site_label
_atom_site_type_symbol
_atom_site_fract_x
_atom_site_fract_y
_atom_site_fract_z
_atom_site_occupancy
Li1 Li 0.000 0.000 0.000 1
V1 V 0.167 0.250 0.273 1
As1 As 0.125 0.750 0.375 1
O1 O 0.066 0.250 0.507 1
O2 O 0.114 0.750 0.824 1
O3 O 0.128 0.546 0.236 1
O4 O 0.185 0.250 0.002 1
```

Most intense lines, 10° ≤ 2θ ≤ 90°, in order of rising 2θ:
2theta, d [Å], I_rel, h k l
26.12, 3.411, 37, 1 0 2
26.37, 3.380, 100, 2 0 1
27.03, 3.298, 73, 0 2 0
29.48, 3.030, 37, 1 1 2
37.95, 2.371, 33, 1 2 2
55.69, 1.651, 44, 0 4 0